Theoretical PXRD pattern
Compound: SrCa5Mn4Ga2O16
Radiation: Cu Kα X-rays
Structure: a cell relaxed with PBE+U

Main lines, sorted by position (2θ = 10–90°):
22.69°, rel. 8.3, hkl 1 0 -1
24.05°, rel. 9.4, hkl 0 3 0
31.80°, rel. 28.1, hkl 0 0 2
32.82°, rel. 34.6, hkl 2 0 0
33.28°, rel. 100.0, hkl 1 3 1
46.35°, rel. 37.8, hkl 2 0 -2
49.19°, rel. 16.9, hkl 0 6 0
57.60°, rel. 17.5, hkl 1 3 -3
58.89°, rel. 18.0, hkl 3 3 -1
59.77°, rel. 8.2, hkl 0 6 2
60.40°, rel. 10.4, hkl 2 6 0
69.88°, rel. 13.4, hkl 2 6 -2

Cell and atoms:
a = 5.457 Å, b = 11.115 Å, c = 5.629 Å
α = 90.00°, β = 90.02°, γ = 90.00°
Space group Pm (No. 6)
Unique sites:
Sr  0.000  0.000  0.000
Ca  0.476  0.310  0.535
Ca  0.512  0.000  0.521
Ca  0.975  0.312  0.976
Mn  0.492  0.172  0.014
Mn  0.993  0.172  0.499
Ga  0.441  0.500  0.081
Ga  0.941  0.500  0.432
O  0.025  0.357  0.579
O  0.093  0.500  0.128
O  0.232  0.202  0.242
O  0.253  0.153  0.745
O  0.495  0.000  0.088
O  0.522  0.357  0.933
O  0.594  0.500  0.384
O  0.735  0.203  0.265
O  0.744  0.156  0.757
O  0.978  0.000  0.444